No. 1
# BaP2S2O9
Computed XRD peak list, copper Kα. Input: a DFT-relaxed cell (PBE, the Materials Project).
Intensities are scaled so that the largest is 100.

Largest 10 diffraction maxima, sorted by position, 15° ≤ 2θ ≤ 90°:
- 16.12 deg, intensity 68, (1 0 1)
- 21.78 deg, intensity 76, (1 1 2)
- 22.42 deg, intensity 88, (2 1 0)
- 22.79 deg, intensity 67, (0 0 2)
- 25.70 deg, intensity 43, (1 0 2)
- 26.62 deg, intensity 44, (-1 2 1)
- 29.08 deg, intensity 59, (1 -2 0)
- 31.15 deg, intensity 100, (1 3 1)
- 34.51 deg, intensity 52, (3 2 1)
- 35.56 deg, intensity 43, (1 3 3)

Atomic structure:
Lattice parameters (Å, degrees): 8.2917 8.7677 8.8933 61.30 83.46 73.62
Space group P-1 (No. 2)
Symmetry-distinct sites (fractional):
Ba1 0.2477 0.4153 0.3687 x2
P1 0.0871 0.7887 0.7091 x2
P2 0.0918 0.8419 0.3508 x2
S1 0.2764 0.8319 0.1992 x2
S2 0.3064 0.6022 0.8558 x2
O1 0.0061 0.6904 0.4201 x2
O2 0.0576 0.9670 0.7314 x2
O3 0.0676 0.2784 0.2535 x2
O4 0.1509 0.8546 0.5156 x2
O5 0.1991 0.2633 0.8799 x2
O6 0.2971 0.2665 0.7626 x2
O7 0.4415 0.5901 0.7219 x2
O8 0.4872 0.9639 0.6709 x2
O9 0.4895 0.8726 0.8299 x2

No. 2
# SiO2
Computed XRD peak list, copper Kα. Input: a DFT-relaxed cell (PBE, the Materials Project).
Intensities are scaled so that the largest is 100.

Largest 10 diffraction maxima, sorted by position, 15° ≤ 2θ ≤ 90°:
- 16.98 deg, intensity 100, (1 0 1)
- 22.17 deg, intensity 63, (1 1 0)
- 25.91 deg, intensity 33, (0 1 2)
- 33.97 deg, intensity 8, (0 0 3)
- 36.05 deg, intensity 22, (2 1 1)
- 41.27 deg, intensity 15, (1 2 2)
- 45.23 deg, intensity 9, (2 2 0)
- 52.59 deg, intensity 6, (3 0 3)
- 71.83 deg, intensity 12, (4 1 3)
- 80.57 deg, intensity 5, (3 3 3)

Atomic structure:
Lattice parameters (Å, degrees): 8.0191 8.0191 7.9170 90.00 90.00 120.00
Space group R32 (No. 155, hexagonal axes)
Symmetry-distinct sites (fractional):
Si1 0.0000 0.7845 0.0000 x9
O1 0.0000 0.1913 0.0000 x9
O2 0.0000 0.6672 0.5000 x9

No. 3
# Y2O3
Computed XRD peak list, copper Kα. Input: a DFT-relaxed cell (PBE, the Materials Project).
Intensities are scaled so that the largest is 100.

Largest 10 diffraction maxima, sorted by position, 15° ≤ 2θ ≤ 90°:
- 21.10 deg, intensity 21, (0 1 2)
- 29.34 deg, intensity 100, (1 0 4)
- 30.68 deg, intensity 89, (1 1 0)
- 42.96 deg, intensity 43, (0 2 4)
- 47.44 deg, intensity 35, (1 1 6)
- 51.18 deg, intensity 13, (0 1 8)
- 53.71 deg, intensity 41, (2 1 4)
- 54.54 deg, intensity 32, (3 0 0)
- 63.69 deg, intensity 11, (1 0 10)
- 71.82 deg, intensity 14, (1 3 4)

Atomic structure:
Lattice parameters (Å, degrees): 5.8288 5.8288 15.2638 90.00 90.00 120.00
Space group R-3c (No. 167, hexagonal axes)
Symmetry-distinct sites (fractional):
Y1 0.0000 0.0000 0.1419 x12
O1 0.0000 0.2930 0.2500 x18